No. 1
This entry pairs a crystal structure of Zn8Cu5Ag with its simulated powder X-ray diffraction pattern. Radiation: Cu Kα (weighted mean of Kα1 and Kα2). Structure: a crystal structure in Alexandria, relaxed with GGA-PBE.
Neutral-atom scattering factors, no anomalous dispersion.

Principal peaks in the range 2θ = 10–80°, low angle first:
| 2θ/deg | intensity |
| --- | --- |
| 36.13 | 55 |
| 36.78 | 86 |
| 41.72 | 84 |
| 43.62 | 100 |
| 45.29 | 88 |
| 49.68 | 58 |

Cell and atoms:
```
14
Lattice="-3.9311 3.9311 3.3784 3.9311 -3.9311 3.3784 3.9311 3.9311 -3.3784" Properties=species:S:1:pos:R:3 pbc="T T T"
Zn 3.4649 1.1808 -0.5414
Zn 1.7599 -1.1517 1.5521
Zn 2.1712 5.0828 -1.8263
Zn 2.7503 -0.4661 3.9198
Zn 2.7794 2.1712 1.8263
Zn 1.1808 4.3972 0.5414
Zn 0.4661 2.7503 2.8369
Zn 1.1517 1.7599 5.2046
Cu 3.9311 0.0000 1.6892
Cu 0.7048 1.1075 0.8909
Cu -2.8236 3.2263 2.4874
Cu 2.8236 4.6359 2.4874
Cu -0.7048 6.7547 0.8909
Ag 0.0000 0.0000 3.3784
```



No. 2
This entry pairs a crystal structure of ZnCuAg2 with its simulated powder X-ray diffraction pattern. Radiation: Cu Kα (weighted mean of Kα1 and Kα2). Structure: a crystal structure in Alexandria, relaxed with GGA-PBE.
Neutral-atom scattering factors, no anomalous dispersion.

Principal peaks in the range 2θ = 10–80°, low angle first:
| 2θ/deg | intensity |
| --- | --- |
| 33.02 | 11 |
| 39.45 | 100 |
| 43.86 | 39 |
| 63.76 | 12 |
| 68.44 | 14 |
| 77.63 | 25 |

Cell and atoms:
```
4
Lattice="2.9194 0.0000 0.0000 0.0000 2.9194 0.0000 0.0000 0.0000 7.3336" Properties=species:S:1:pos:R:3 pbc="T T T"
Zn 0.0000 0.0000 0.0000
Cu 1.4597 1.4597 5.8293
Ag 0.0000 0.0000 4.0179
Ag 1.4597 1.4597 1.8928
```



No. 3
This entry pairs a crystal structure of Zn4Cu2Ag5 with its simulated powder X-ray diffraction pattern. Radiation: Cu Kα (weighted mean of Kα1 and Kα2). Structure: a crystal structure in Alexandria, relaxed with GGA-PBE.
Neutral-atom scattering factors, no anomalous dispersion.

Principal peaks in the range 2θ = 10–80°, low angle first:
| 2θ/deg | intensity |
| --- | --- |
| 35.21 | 8 |
| 38.20 | 26 |
| 38.83 | 28 |
| 41.58 | 100 |
| 55.75 | 7 |
| 64.68 | 11 |

Cell and atoms:
```
11
Lattice="8.4726 -1.4408 0.0000 8.4726 1.4408 0.0000 -1.8651 0.0000 7.0941" Properties=species:S:1:pos:R:3 pbc="T T T"
Zn 0.4415 0.0000 1.6301
Zn 4.3743 0.0000 3.9733
Zn 10.7059 0.0000 3.1208
Zn 14.6386 0.0000 5.4640
Cu 7.2182 0.0000 0.3691
Cu 7.8619 0.0000 6.7249
Ag 1.0466 0.0000 5.1249
Ag 3.2425 0.0000 0.9233
Ag 7.5401 0.0000 3.5470
Ag 11.8376 0.0000 6.1708
Ag 14.0335 0.0000 1.9691
```



No. 4
This entry pairs a crystal structure of Zn4CuAg2 with its simulated powder X-ray diffraction pattern. Radiation: Cu Kα (weighted mean of Kα1 and Kα2). Structure: a crystal structure in Alexandria, relaxed with GGA-PBE.
Neutral-atom scattering factors, no anomalous dispersion.

Principal peaks in the range 2θ = 10–80°, low angle first:
| 2θ/deg | intensity |
| --- | --- |
| 38.79 | 51 |
| 40.50 | 68 |
| 40.62 | 100 |
| 40.84 | 87 |
| 41.86 | 60 |
| 42.71 | 82 |

Cell and atoms:
```
14
Lattice="5.5691 0.0000 0.0000 -1.4172 6.4759 0.0000 -1.5463 -3.1351 5.9484" Properties=species:S:1:pos:R:3 pbc="T T T"
Zn 0.0000 0.0000 0.0000
Zn -1.2760 4.3846 1.5944
Zn -1.4495 1.1020 5.0355
Zn -0.0132 -1.3154 4.3984
Zn 0.0480 2.7312 3.2507
Zn 1.4446 4.4474 1.5335
Zn 2.9694 2.1419 0.8091
Zn 2.7546 -1.3069 4.3586
Cu 0.1389 2.3480 0.7534
Cu -0.1705 3.2647 5.7115
Ag 1.4753 0.3027 2.2826
Ag 1.3289 1.0656 5.0618
Ag 2.8317 2.8866 3.3555
Ag 4.2538 0.2247 2.3946
```



No. 5
This entry pairs a crystal structure of Zn2Cu2Ag with its simulated powder X-ray diffraction pattern. Radiation: Cu Kα (weighted mean of Kα1 and Kα2). Structure: a crystal structure in Alexandria, relaxed with GGA-PBE.
Neutral-atom scattering factors, no anomalous dispersion.

Principal peaks in the range 2θ = 10–80°, low angle first:
| 2θ/deg | intensity |
| --- | --- |
| 40.21 | 100 |
| 41.25 | 94 |
| 45.17 | 35 |
| 47.80 | 30 |
| 49.13 | 28 |
| 68.95 | 19 |

Cell and atoms:
```
10
Lattice="8.4749 0.0000 0.0000 0.0000 3.7086 0.0000 -4.1470 0.0000 4.5094" Properties=species:S:1:pos:R:3 pbc="T T T"
Zn -0.4049 0.0000 1.2551
Zn 0.4953 1.8543 3.2543
Zn 3.8326 1.8543 1.2551
Zn 4.7327 0.0000 3.2543
Cu 1.2601 1.8543 0.4261
Cu -1.1696 0.0000 4.0833
Cu 5.4975 0.0000 0.4261
Cu 3.0678 1.8543 4.0833
Ag -2.0735 1.8543 2.2547
Ag 2.1639 0.0000 2.2547
```



No. 6
This entry pairs a crystal structure of Zn8CuAg5 with its simulated powder X-ray diffraction pattern. Radiation: Cu Kα (weighted mean of Kα1 and Kα2). Structure: a crystal structure in Alexandria, relaxed with GGA-PBE.
Neutral-atom scattering factors, no anomalous dispersion.

Principal peaks in the range 2θ = 10–80°, low angle first:
| 2θ/deg | intensity |
| --- | --- |
| 34.26 | 45 |
| 34.94 | 35 |
| 40.08 | 100 |
| 41.38 | 63 |
| 43.11 | 55 |
| 47.08 | 28 |

Cell and atoms:
```
14
Lattice="-4.1389 4.1389 3.5096 4.1389 -4.1389 3.5096 4.1389 4.1389 -3.5096" Properties=species:S:1:pos:R:3 pbc="T T T"
Zn 6.0006 1.0804 0.0623
Zn 3.4364 3.0540 -1.2507
Zn 1.0804 2.2771 -0.0623
Zn 0.7024 1.0848 2.2588
Zn 1.0848 -0.7024 4.7603
Zn 3.0585 1.8618 3.4472
Zn 3.0540 4.8413 1.2507
Zn -1.8618 3.0585 3.5719
Cu 0.0000 0.0000 0.0000
Ag 3.3851 1.3089 0.7620
Ag 2.8299 -0.7537 2.7476
Ag 1.3089 4.8926 -0.7620
Ag 0.0000 4.1389 1.7548
Ag 0.7537 2.8299 4.2716
```